HfZrTc2: computed PXRD pattern (CuKα), based on the GGA-PBE geometry in the Materials Project.
Neutral-atom scattering factors, no anomalous dispersion.

Atomic structure:
```
16
Lattice="6.5643 0.0000 0.0000 0.0000 6.5643 0.0000 0.0000 0.0000 6.5643" Properties=species:S:1:pos:R:3 pbc="T T T"
Hf 0.0000 0.0000 0.0000
Hf 0.0000 3.2822 3.2822
Hf 3.2822 0.0000 3.2822
Hf 3.2822 3.2822 0.0000
Zr 0.0000 0.0000 3.2822
Zr 0.0000 3.2822 0.0000
Zr 3.2822 0.0000 0.0000
Zr 3.2822 3.2822 3.2822
Tc 1.6411 1.6411 1.6411
Tc 1.6411 1.6411 4.9232
Tc 1.6411 4.9232 1.6411
Tc 1.6411 4.9232 4.9232
Tc 4.9232 1.6411 1.6411
Tc 4.9232 1.6411 4.9232
Tc 4.9232 4.9232 1.6411
Tc 4.9232 4.9232 4.9232
```

Principal peaks in the range 2θ = 10–90°, sorted by position:
two_theta  I/Imax  hkl
23.5  7  1 1 1
27.2  3  2 0 0
38.8  100  2 2 0
45.8  4  3 1 1
56.0  17  4 0 0
61.6  2  3 3 1
70.2  34  4 2 2
83.3  11  4 4 0

---

Sn3SO7: computed PXRD pattern (CuKα), based on the GGA-PBE geometry in the Materials Project.
Neutral-atom scattering factors, no anomalous dispersion.

Atomic structure:
```
44
Lattice="13.3579 0.0000 0.0000 0.0000 5.7968 0.0000 0.0000 0.0000 12.2187" Properties=species:S:1:pos:R:3 pbc="T T T"
Sn 13.3531 0.3487 0.0000
Sn 0.0048 5.4481 6.1093
Sn 1.5202 2.5339 7.3456
Sn 2.5210 5.4289 9.0658
Sn 4.1580 5.4289 2.9564
Sn 5.1587 2.5339 1.2363
Sn 6.6837 0.3487 6.1093
Sn 6.6741 5.4481 0.0000
Sn 8.1992 3.2628 7.3456
Sn 9.1999 0.3679 9.0658
Sn 10.8369 0.3679 2.9564
Sn 11.8376 3.2628 1.2363
S 0.9510 4.3238 2.8154
S 5.7279 4.3238 8.9247
S 7.6299 1.4729 2.8154
S 12.4069 1.4729 8.9247
O 0.0171 5.4416 2.4427
O 0.2303 3.0306 2.4458
O 0.8605 1.5011 5.8373
O 1.2633 4.3410 4.2458
O 1.7346 4.5052 7.1797
O 2.1866 4.4331 1.9925
O 2.8317 1.5563 8.3982
O 3.8472 1.5563 2.2889
O 4.4924 4.4331 8.1019
O 4.9444 4.5052 1.0704
O 5.4157 4.3410 10.3551
O 5.8184 1.5011 11.9466
O 6.4487 3.0306 8.5551
O 6.6618 5.4416 8.5520
O 6.6961 0.3552 2.4427
O 6.9092 2.7662 2.4458
O 7.5394 4.2957 5.8373
O 7.9422 1.4558 4.2458
O 8.4135 1.2916 7.1797
O 8.8655 1.3637 1.9925
O 9.5107 4.2405 8.3982
O 10.5262 4.2405 2.2889
O 11.1713 1.3637 8.1019
O 11.6233 1.2916 1.0704
O 12.0946 1.4558 10.3551
O 12.4974 4.2957 11.9466
O 13.1276 2.7662 8.5551
O 13.3408 0.3552 8.5520
```

Principal peaks in the range 2θ = 10–90°, sorted by position:
two_theta  I/Imax  hkl
14.5  65  0 0 2
15.1  100  2 0 1
19.7  65  2 0 2
25.0  76  2 1 2
30.0  45  2 1 3
30.9  39  4 1 0
33.2  54  0 1 4
34.3  32  4 1 2

---

DyAgPb: computed PXRD pattern (CuKα), based on the GGA-PBE geometry in the Materials Project.
Neutral-atom scattering factors, no anomalous dispersion.

Atomic structure:
```
6
Lattice="4.8871 0.0000 0.0000 -2.4436 4.2324 0.0000 0.0000 0.0000 7.7802" Properties=species:S:1:pos:R:3 pbc="T T T"
Dy 0.0000 0.0000 1.6467
Dy 0.0000 0.0000 6.1335
Ag 0.0000 2.8216 0.0426
Ag 2.4436 1.4108 7.7376
Pb 0.0000 2.8216 3.2255
Pb 2.4436 1.4108 4.5547
```

Principal peaks in the range 2θ = 10–90°, sorted by position:
two_theta  I/Imax  hkl
23.9  31  0 1 1
31.2  100  0 1 2
36.8  89  1 1 0
40.8  37  1 0 3
49.0  29  2 0 2
62.8  27  1 2 2
66.2  16  3 0 0
71.9  22  1 1 5